Starting from a cell relaxed with PBE, the PXRD pattern of CsHgBr3 was calculated for λ = 1.5418 Å (Cu Kα).

Largest 10 diffraction maxima, by angle, 5 to 70 degrees two-theta:
two_theta	d (Å)	I_rel	index
15.56	5.695	36	1 0 0
22.07	4.027	87	1 1 0
27.12	3.288	19	1 1 1
31.42	2.848	100	2 0 0
35.24	2.547	21	2 1 0
38.73	2.325	42	2 1 1
45.02	2.013	73	2 2 0
50.69	1.801	20	3 1 0
55.93	1.644	26	2 2 2
60.86	1.522	23	3 2 1

a b c (Å): 5.695 5.695 5.695
angles (deg): 90.00 90.00 90.00
Sites, in units of the cell vectors:
Cs1 0.000 0.000 0.000
Hg1 0.500 0.500 0.500
Br1 0.000 0.500 0.500
Br2 0.500 0.000 0.500
Br3 0.500 0.500 0.000